Dy2Ho5Ni2Te2: simulated X-ray powder pattern (Cu Kα), based on DFT lattice parameters and positions (GGA-PBE).

Principal peaks in the range 2θ = 10–90°, in order of rising 2θ:
Position (°2θ)  I/Imax
28.9  22.0
30.1  22.0
30.4  51.1
33.0  79.2
34.1  100.0
34.5  74.4
36.7  21.9
38.5  18.4
47.3  28.8
51.1  23.5
58.9  30.4
65.3  17.2

Structural model:
```
data_Dy2Ho5Ni2Te2
_cell_length_a 3.844
_cell_length_b 15.607
_cell_length_c 9.540
_cell_angle_alpha 90.00
_cell_angle_beta 90.00
_cell_angle_gamma 90.00
_symmetry_space_group_name_H-M 'I m m 2'
_symmetry_Int_Tables_number 44
loop_
_symmetry_equiv_pos_as_xyz
'x,y,z'
'-x,-y,z'
'-x,y,z'
'x,-y,z'
'x+1/2,y+1/2,z+1/2'
'-x+1/2,-y+1/2,z+1/2'
'-x+1/2,y+1/2,z+1/2'
'x+1/2,-y+1/2,z+1/2'
loop_
_atom_site_label
_atom_site_type_symbol
_atom_site_fract_x
_atom_site_fract_y
_atom_site_fract_z
_atom_site_occupancy
Dy1 Dy 0.000 0.146 0.000 1
Ho1 Ho 0.000 0.185 0.351 1
Ho2 Ho 0.000 0.367 0.148 1
Ho3 Ho 0.000 0.500 0.730 1
Ni1 Ni 0.000 0.262 0.659 1
Te1 Te 0.000 0.000 0.496 1
Te2 Te 0.000 0.500 0.392 1
```

---

Dy3Ho4Ni2Te2: simulated X-ray powder pattern (Cu Kα), based on DFT lattice parameters and positions (GGA-PBE).

Principal peaks in the range 2θ = 10–90°, in order of rising 2θ:
Position (°2θ)  I/Imax
28.9  22.0
30.1  21.7
30.4  50.9
33.0  79.7
34.0  100.0
34.4  23.8
34.6  52.2
36.7  21.6
38.5  18.5
47.3  29.0
51.0  23.5
58.9  30.6

Structural model:
```
data_Dy3Ho4Ni2Te2
_cell_length_a 3.847
_cell_length_b 15.628
_cell_length_c 9.535
_cell_angle_alpha 90.00
_cell_angle_beta 90.00
_cell_angle_gamma 90.00
_symmetry_space_group_name_H-M 'I m m 2'
_symmetry_Int_Tables_number 44
loop_
_symmetry_equiv_pos_as_xyz
'x,y,z'
'-x,-y,z'
'-x,y,z'
'x,-y,z'
'x+1/2,y+1/2,z+1/2'
'-x+1/2,-y+1/2,z+1/2'
'-x+1/2,y+1/2,z+1/2'
'x+1/2,-y+1/2,z+1/2'
loop_
_atom_site_label
_atom_site_type_symbol
_atom_site_fract_x
_atom_site_fract_y
_atom_site_fract_z
_atom_site_occupancy
Dy1 Dy 0.000 0.000 0.000 1
Dy2 Dy 0.000 0.353 0.731 1
Ho1 Ho 0.000 0.133 0.583 1
Ho2 Ho 0.000 0.315 0.379 1
Ni1 Ni 0.000 0.238 0.071 1
Te1 Te 0.000 0.000 0.338 1
Te2 Te 0.000 0.500 0.234 1
```

---

Copy entry 1 word for word.
Dy2Ho5Ni2Te2: simulated X-ray powder pattern (Cu Kα), based on DFT lattice parameters and positions (GGA-PBE).

Principal peaks in the range 2θ = 10–90°, in order of rising 2θ:
Position (°2θ)  I/Imax
28.9  22.0
30.1  22.0
30.4  51.1
33.0  79.2
34.1  100.0
34.5  74.4
36.7  21.9
38.5  18.4
47.3  28.8
51.1  23.5
58.9  30.4
65.3  17.2

Structural model:
```
data_Dy2Ho5Ni2Te2
_cell_length_a 3.844
_cell_length_b 15.607
_cell_length_c 9.540
_cell_angle_alpha 90.00
_cell_angle_beta 90.00
_cell_angle_gamma 90.00
_symmetry_space_group_name_H-M 'I m m 2'
_symmetry_Int_Tables_number 44
loop_
_symmetry_equiv_pos_as_xyz
'x,y,z'
'-x,-y,z'
'-x,y,z'
'x,-y,z'
'x+1/2,y+1/2,z+1/2'
'-x+1/2,-y+1/2,z+1/2'
'-x+1/2,y+1/2,z+1/2'
'x+1/2,-y+1/2,z+1/2'
loop_
_atom_site_label
_atom_site_type_symbol
_atom_site_fract_x
_atom_site_fract_y
_atom_site_fract_z
_atom_site_occupancy
Dy1 Dy 0.000 0.146 0.000 1
Ho1 Ho 0.000 0.185 0.351 1
Ho2 Ho 0.000 0.367 0.148 1
Ho3 Ho 0.000 0.500 0.730 1
Ni1 Ni 0.000 0.262 0.659 1
Te1 Te 0.000 0.000 0.496 1
Te2 Te 0.000 0.500 0.392 1
```